# Pr3Dy8Y2
Computed powder XRD pattern, a wavelength of 1.5418 Å. Input: a cell relaxed with PBE.
Kinematic intensities with the Lorentz-polarization factor, no thermal factor.

Atomic structure:
Unit cell a=6.213 b=8.026 c=9.485 alpha=65.03 beta=89.92 gamma=82.47
Space group P-1 (No. 2)
One atom of each set of equivalent atoms:
1 Pr 0.000 0.000 0.000 x1
2 Pr 0.461 0.233 0.845 x2
3 Dy 0.077 0.535 0.310 x2
4 Dy 0.153 0.077 0.614 x2
5 Dy 0.230 0.615 0.923 x2
6 Dy 0.308 0.156 0.233 x2
7 Y 0.384 0.694 0.539 x2

Most intense lines, 10 to 90 degrees two-theta, low angle first:
(hkl), d/Å, I_rel
2 1 1, 2.929, 100
1 3 1, 2.536, 51
2 3 4, 1.794, 36
3 4 2, 1.531, 7
3 1 4, 1.529, 32
-2 3 5, 1.528, 4
4 2 2, 1.465, 3
2 2 -4, 1.464, 9
5 3 0, 1.164, 10
4 -3 1, 1.163, 7
3 6 5, 1.135, 7
5 1 -3, 1.134, 8